For Ca3Ge8Rh3, a crystal structure in Alexandria, relaxed with GGA-PBE gives the computed PXRD pattern in this record (λ = 1.5418 Å (Cu Kα)).

Main lines, by intensity (2θ = 5–70°):
- 2.635 Å, intensity 100, hkl 1 1 2
- 2.215 Å, intensity 95, hkl 0 2 0
- 2.232 Å, intensity 70, hkl 5 1 -3
- 2.322 Å, intensity 56, hkl 6 0 0
- 7.088 Å, intensity 46, hkl 2 0 -1
- 2.614 Å, intensity 40, hkl 6 0 -2
- 1.933 Å, intensity 37, hkl 3 1 -4
- 2.039 Å, intensity 37, hkl 1 1 3
- 4.218 Å, intensity 37, hkl 2 0 1
- 3.939 Å, intensity 33, hkl 1 1 -1

Atomic structure:
```
data_Ca3Ge8Rh3
_chemical_formula_sum 'Ca6 Ge16 Rh6'
_symmetry_space_group_name_H-M 'C 1 2/m 1'
_symmetry_Int_Tables_number 12
_cell_length_a 15.871
_cell_length_b 4.431
_cell_length_c 8.619
_cell_angle_alpha 90.00
_cell_angle_beta 118.59
_cell_angle_gamma 90.00
loop_
_symmetry_equiv_pos_as_xyz
'x,y,z'
'-x,-y,-z'
'-x,y,-z'
'x,-y,z'
'x+1/2,y+1/2,z'
'-x+1/2,-y+1/2,-z'
'-x+1/2,y+1/2,-z'
'x+1/2,-y+1/2,z'
loop_
_atom_site_label
_atom_site_fract_x
_atom_site_fract_y
_atom_site_fract_z
Ca1 0.000 0.000 0.000
Ca2 0.213 0.500 0.681
Ge1 0.016 0.500 0.696
Ge2 0.129 0.000 0.413
Ge3 0.140 0.500 0.257
Ge4 0.144 0.000 0.850
Rh1 0.000 0.000 0.500
Rh2 0.178 0.500 0.008
```